1.
Diffraction record for Er6GaNi. The powder XRD pattern is computed, not measured: it uses DFT lattice parameters and positions (PBE) and a wavelength of 1.5418 Å.
Peak positions follow from Bragg's law for the DFT cell and can differ from measured ones.

Atomic structure:
Unit cell a=6.640 b=11.276 c=6.563 alpha=90.00 beta=113.38 gamma=90.00
Positions (direct):
Er (0.230, 0.190, 0.245)
Er (0.230, 0.810, 0.245)
Er (0.235, 0.000, 0.768)
Er (0.265, 0.500, 0.232)
Er (0.270, 0.310, 0.755)
Er (0.270, 0.690, 0.755)
Er (0.730, 0.310, 0.245)
Er (0.730, 0.690, 0.245)
Er (0.735, 0.500, 0.768)
Er (0.765, 0.000, 0.232)
Er (0.770, 0.190, 0.755)
Er (0.770, 0.810, 0.755)
Ga (0.000, 0.500, 0.500)
Ga (0.500, 0.000, 0.500)
Ni (0.000, 0.000, 0.000)
Ni (0.500, 0.500, 0.000)

Most intense lines, 15 to 90 degrees two-theta, sorted by position:
d/Å	I_rel	h k l
3.106	86	1 3 -1
3.047	46	2 0 0
3.012	46	0 0 2
2.819	14	0 4 0
2.758	61	2 0 -2
2.609	100	1 3 1
1.904	36	3 3 -1
1.887	37	1 3 -3
1.879	14	0 6 0
1.813	18	2 0 2


2.
Diffraction record for PmAl4Ni2. The powder XRD pattern is computed, not measured: it uses DFT lattice parameters and positions (PBE) and a wavelength of 1.5418 Å.
Peak positions follow from Bragg's law for the DFT cell and can differ from measured ones.

Atomic structure:
Unit cell a=7.575 b=7.575 c=4.015 alpha=90.00 beta=90.00 gamma=90.00
Positions (direct):
Pm (0.000, 0.000, 0.000)
Pm (0.500, 0.500, 0.500)
Al (0.084, 0.334, 0.500)
Al (0.166, 0.584, 0.000)
Al (0.334, 0.084, 0.500)
Al (0.416, 0.834, 0.000)
Al (0.584, 0.166, 0.000)
Al (0.666, 0.916, 0.500)
Al (0.834, 0.416, 0.000)
Al (0.916, 0.666, 0.500)
Ni (0.222, 0.778, 0.500)
Ni (0.278, 0.278, 0.000)
Ni (0.722, 0.722, 0.000)
Ni (0.778, 0.222, 0.500)

Most intense lines, 15 to 90 degrees two-theta, sorted by position:
d/Å	I_rel	h k l
5.356	37	1 1 0
3.547	30	1 0 1
2.678	37	2 2 0
2.589	100	2 1 1
2.395	32	3 1 0
2.137	17	3 0 1
2.057	30	3 1 1
2.008	21	0 0 2
1.539	16	3 1 2
1.417	21	4 3 1